# 1
The following is a theoretical powder X-ray diffraction pattern of BaY2B. It was derived from a structure optimized by DFT (PBE), using Cu Kα.
No peak broadening, texture or thermal motion is included.

Crystal structure
Unit cell a=7.771 b=7.771 c=10.905 alpha=90.00 beta=90.00 gamma=90.00
Atoms (fractional coordinates):
Ba  0.000  0.000  0.000
Ba  0.000  0.500  0.250
Ba  0.500  0.000  0.750
Ba  0.500  0.500  0.500
Y  0.022  0.250  0.625
Y  0.250  0.522  0.875
Y  0.250  0.978  0.375
Y  0.478  0.250  0.125
Y  0.522  0.750  0.125
Y  0.750  0.022  0.375
Y  0.750  0.478  0.875
Y  0.978  0.750  0.625
B  0.000  0.000  0.500
B  0.000  0.500  0.750
B  0.500  0.000  0.250
B  0.500  0.500  0.000

The 10 most intense peaks (2θ = 10–90°), by angle:
2θ = 22.95°, I = 70; 2θ = 26.93°, I = 100; 2θ = 27.08°, I = 48; 2θ = 28.20°, I = 44; 2θ = 40.25°, I = 21; 2θ = 42.77°, I = 26; 2θ = 46.76°, I = 16; 2θ = 46.95°, I = 33; 2θ = 54.87°, I = 14; 2θ = 65.26°, I = 17



# 2
The following is a theoretical powder X-ray diffraction pattern of Be2B. It was derived from a structure optimized by DFT (PBE), using Cu Kα.
No peak broadening, texture or thermal motion is included.

Crystal structure
Unit cell a=4.880 b=4.880 c=4.676 alpha=90.00 beta=90.00 gamma=57.28
Atoms (fractional coordinates):
Be  0.002  0.498  0.750
Be  0.239  0.761  0.762
Be  0.261  0.739  0.262
Be  0.498  0.002  0.250
Be  0.502  0.998  0.750
Be  0.739  0.261  0.738
Be  0.761  0.239  0.238
Be  0.998  0.502  0.250
B  0.111  0.111  0.500
B  0.389  0.389  0.000
B  0.611  0.611  0.000
B  0.889  0.889  0.500

The 10 most intense peaks (2θ = 10–90°), by angle:
2θ = 28.94°, I = 100; 2θ = 38.50°, I = 9; 2θ = 41.80°, I = 12; 2θ = 55.58°, I = 57; 2θ = 58.44°, I = 94; 2θ = 60.91°, I = 10; 2θ = 63.87°, I = 12; 2θ = 72.18°, I = 5; 2θ = 82.50°, I = 19; 2θ = 87.05°, I = 8



# 3
The following is a theoretical powder X-ray diffraction pattern of BeB. It was derived from a structure optimized by DFT (PBE), using Cu Kα.
No peak broadening, texture or thermal motion is included.

Crystal structure
Unit cell a=3.052 b=3.052 c=3.784 alpha=90.00 beta=90.00 gamma=120.00
Atoms (fractional coordinates):
Be  0.333  0.667  0.362
Be  0.667  0.333  0.638
B  0.333  0.667  0.896
B  0.667  0.333  0.104

The 8 most intense peaks (2θ = 10–90°), by angle:
2θ = 23.51°, I = 15; 2θ = 33.91°, I = 100; 2θ = 41.68°, I = 2; 2θ = 60.14°, I = 79; 2θ = 60.68°, I = 54; 2θ = 66.00°, I = 1; 2θ = 71.36°, I = 8; 2θ = 85.24°, I = 2



# 4
The following is a theoretical powder X-ray diffraction pattern of BeB2. It was derived from a structure optimized by DFT (PBE), using Cu Kα.
No peak broadening, texture or thermal motion is included.

Crystal structure
Unit cell a=2.963 b=2.963 c=6.022 alpha=90.00 beta=90.00 gamma=120.00
Atoms (fractional coordinates):
Be  0.333  0.667  0.000
Be  0.667  0.333  0.500
B  0.000  0.000  0.322
B  0.000  0.000  0.822
B  0.333  0.667  0.329
B  0.667  0.333  0.829

The 10 most intense peaks (2θ = 10–90°), by angle:
2θ = 29.67°, I = 100; 2θ = 38.12°, I = 55; 2θ = 46.50°, I = 28; 2θ = 58.36°, I = 46; 2θ = 61.60°, I = 9; 2θ = 62.71°, I = 58; 2θ = 70.89°, I = 26; 2θ = 72.83°, I = 5; 2θ = 75.81°, I = 6; 2θ = 81.55°, I = 5



# 5
The following is a theoretical powder X-ray diffraction pattern of BeB. It was derived from a structure optimized by DFT (PBE), using Cu Kα.
No peak broadening, texture or thermal motion is included.

Crystal structure
Unit cell a=4.454 b=4.979 c=5.646 alpha=90.00 beta=90.00 gamma=90.00
Atoms (fractional coordinates):
Be  0.010  0.005  0.467
Be  0.021  0.926  0.856
Be  0.479  0.074  0.356
Be  0.490  0.995  0.967
Be  0.510  0.495  0.533
Be  0.521  0.574  0.144
Be  0.979  0.426  0.644
Be  0.990  0.505  0.033
B  0.119  0.119  0.146
B  0.168  0.377  0.328
B  0.332  0.623  0.828
B  0.381  0.881  0.646
B  0.619  0.381  0.854
B  0.668  0.123  0.672
B  0.832  0.877  0.172
B  0.881  0.619  0.354

The 10 most intense peaks (2θ = 10–90°), by angle:
2θ = 25.47°, I = 38; 2θ = 31.26°, I = 100; 2θ = 36.08°, I = 29; 2θ = 44.57°, I = 21; 2θ = 44.68°, I = 18; 2θ = 55.72°, I = 25; 2θ = 56.18°, I = 64; 2θ = 61.87°, I = 27; 2θ = 65.20°, I = 41; 2θ = 65.62°, I = 20



# 6
The following is a theoretical powder X-ray diffraction pattern of Cs2BeBBr6. It was derived from a structure optimized by DFT (PBE), using Cu Kα.
No peak broadening, texture or thermal motion is included.

Crystal structure
Unit cell a=7.772 b=7.772 c=7.772 alpha=116.32 beta=116.32 gamma=96.50
Atoms (fractional coordinates):
Cs  0.250  0.750  0.500
Cs  0.750  0.250  0.500
Be  0.000  0.000  0.000
B  0.500  0.500  0.000
Br  0.201  0.201  0.402
Br  0.201  0.799  0.000
Br  0.322  0.322  0.000
Br  0.678  0.678  0.000
Br  0.799  0.201  0.000
Br  0.799  0.799  0.598

The 10 most intense peaks (2θ = 10–90°), by angle:
2θ = 23.04°, I = 17; 2θ = 25.77°, I = 15; 2θ = 27.76°, I = 100; 2θ = 28.06°, I = 17; 2θ = 30.84°, I = 43; 2θ = 33.92°, I = 17; 2θ = 34.65°, I = 15; 2θ = 47.91°, I = 16; 2θ = 49.77°, I = 20; 2θ = 52.98°, I = 16



# 7
The following is a theoretical powder X-ray diffraction pattern of CaBeBPCF. It was derived from a structure optimized by DFT (PBE), using Cu Kα.
No peak broadening, texture or thermal motion is included.

Crystal structure
Unit cell a=8.493 b=3.212 c=7.397 alpha=90.00 beta=122.01 gamma=90.00
Atoms (fractional coordinates):
Ca  0.000  0.000  0.000
Ca  0.500  0.500  0.000
Be  0.248  0.000  0.492
Be  0.748  0.500  0.492
B  0.298  0.500  0.286
B  0.798  0.000  0.286
P  0.405  0.000  0.247
P  0.905  0.500  0.247
C  0.165  0.500  0.374
C  0.665  0.000  0.374
F  0.397  0.000  0.739
F  0.897  0.500  0.739

The 10 most intense peaks (2θ = 10–90°), by angle:
2θ = 14.12°, I = 100; 2θ = 20.95°, I = 57; 2θ = 24.73°, I = 57; 2θ = 25.96°, I = 29; 2θ = 30.73°, I = 28; 2θ = 36.51°, I = 55; 2θ = 37.17°, I = 100; 2θ = 42.64°, I = 29; 2θ = 43.53°, I = 26; 2θ = 47.27°, I = 28



# 8
The following is a theoretical powder X-ray diffraction pattern of CaBeBPCF. It was derived from a structure optimized by DFT (PBE), using Cu Kα.
No peak broadening, texture or thermal motion is included.

Crystal structure
Unit cell a=3.850 b=4.663 c=5.714 alpha=67.40 beta=78.68 gamma=83.84
Atoms (fractional coordinates):
Ca  0.000  0.000  0.000
Be  0.134  0.786  0.561
B  0.541  0.462  0.390
P  0.616  0.047  0.532
C  0.439  0.780  0.291
F  0.055  0.534  0.840

The 10 most intense peaks (2θ = 10–90°), by angle:
2θ = 20.64°, I = 70; 2θ = 26.75°, I = 100; 2θ = 31.56°, I = 83; 2θ = 32.95°, I = 63; 2θ = 34.50°, I = 27; 2θ = 34.69°, I = 24; 2θ = 38.37°, I = 25; 2θ = 42.00°, I = 25; 2θ = 43.48°, I = 33; 2θ = 48.42°, I = 31



# 9
The following is a theoretical powder X-ray diffraction pattern of Ca2BeB10. It was derived from a structure optimized by DFT (PBE), using Cu Kα.
No peak broadening, texture or thermal motion is included.

Crystal structure
Unit cell a=5.596 b=10.979 c=4.179 alpha=90.00 beta=90.00 gamma=90.00
Atoms (fractional coordinates):
Ca  0.186  0.136  0.000
Ca  0.314  0.636  0.000
Ca  0.686  0.364  0.000
Ca  0.814  0.864  0.000
Be  0.000  0.500  0.500
Be  0.500  0.000  0.500
B  0.021  0.315  0.500
B  0.126  0.958  0.500
B  0.171  0.801  0.500
B  0.193  0.388  0.201
B  0.193  0.388  0.799
B  0.307  0.888  0.201
B  0.307  0.888  0.799
B  0.329  0.301  0.500
B  0.374  0.458  0.500
B  0.479  0.815  0.500
B  0.521  0.185  0.500
B  0.626  0.542  0.500
B  0.671  0.699  0.500
B  0.693  0.112  0.201
B  0.693  0.112  0.799
B  0.807  0.612  0.201
B  0.807  0.612  0.799
B  0.829  0.199  0.500
B  0.874  0.042  0.500
B  0.979  0.685  0.500

The 10 most intense peaks (2θ = 10–90°), by angle:
2θ = 31.29°, I = 100; 2θ = 31.98°, I = 17; 2θ = 32.62°, I = 28; 2θ = 36.38°, I = 15; 2θ = 38.73°, I = 23; 2θ = 39.27°, I = 42; 2θ = 39.62°, I = 28; 2θ = 43.30°, I = 16; 2θ = 46.31°, I = 22; 2θ = 49.43°, I = 25



# 10
The following is a theoretical powder X-ray diffraction pattern of CaBeB14. It was derived from a structure optimized by DFT (PBE), using Cu Kα.
No peak broadening, texture or thermal motion is included.

Crystal structure
Unit cell a=7.223 b=7.223 c=7.223 alpha=133.01 beta=88.23 gamma=110.41
Atoms (fractional coordinates):
Ca  0.391  0.141  0.250
Ca  0.609  0.859  0.750
Be  0.000  0.000  0.500
Be  0.000  0.500  0.000
B  0.021  0.865  0.156
B  0.034  0.199  0.327
B  0.034  0.707  0.834
B  0.078  0.668  0.410
B  0.197  0.531  0.666
B  0.210  0.865  0.344
B  0.219  0.499  0.396
B  0.219  0.822  0.719
B  0.242  0.332  0.910
B  0.366  0.531  0.834
B  0.372  0.199  0.666
B  0.372  0.707  0.173
B  0.397  0.178  0.896
B  0.397  0.501  0.219
B  0.603  0.499  0.781
B  0.603  0.822  0.104
B  0.628  0.293  0.827
B  0.628  0.801  0.334
B  0.634  0.469  0.166
B  0.758  0.668  0.090
B  0.781  0.178  0.281
B  0.781  0.501  0.604
B  0.790  0.135  0.656
B  0.803  0.469  0.334
B  0.922  0.332  0.590
B  0.966  0.293  0.166
B  0.966  0.801  0.673
B  0.979  0.135  0.844

The 10 most intense peaks (2θ = 10–90°), by angle:
2θ = 13.72°, I = 30; 2θ = 25.51°, I = 92; 2θ = 27.98°, I = 59; 2θ = 35.66°, I = 80; 2θ = 37.37°, I = 57; 2θ = 40.31°, I = 100; 2θ = 42.01°, I = 27; 2θ = 42.29°, I = 58; 2θ = 70.65°, I = 29; 2θ = 71.34°, I = 27



# 11
The following is a theoretical powder X-ray diffraction pattern of NaCaBe2B2O6F. It was derived from a structure optimized by DFT (PBE), using Cu Kα.
No peak broadening, texture or thermal motion is included.

Crystal structure
Unit cell a=4.679 b=4.679 c=14.399 alpha=90.08 beta=90.08 gamma=119.97
Atoms (fractional coordinates):
Na  0.004  0.996  0.500
Na  0.996  0.004  0.000
Ca  0.981  0.993  0.251
Ca  0.993  0.981  0.751
Be  0.309  0.630  0.388
Be  0.311  0.670  0.614
Be  0.630  0.309  0.888
Be  0.670  0.311  0.114
B  0.298  0.656  0.862
B  0.349  0.658  0.140
B  0.656  0.298  0.362
B  0.658  0.349  0.640
O  0.041  0.384  0.130
O  0.334  0.381  0.865
O  0.381  0.334  0.365
O  0.384  0.041  0.630
O  0.396  0.968  0.162
O  0.565  0.965  0.842
O  0.624  0.627  0.634
O  0.624  0.989  0.373
O  0.627  0.624  0.134
O  0.965  0.565  0.342
O  0.968  0.396  0.662
O  0.989  0.624  0.873
F  0.222  0.594  0.501
F  0.594  0.222  0.001

The 10 most intense peaks (2θ = 10–90°), by angle:
2θ = 25.21°, I = 16; 2θ = 28.83°, I = 20; 2θ = 33.29°, I = 100; 2θ = 38.48°, I = 20; 2θ = 40.54°, I = 39; 2θ = 44.73°, I = 20; 2θ = 46.25°, I = 27; 2θ = 46.32°, I = 19; 2θ = 50.72°, I = 16; 2θ = 69.60°, I = 15



# 12
The following is a theoretical powder X-ray diffraction pattern of CeBeB. It was derived from a structure optimized by DFT (PBE), using Cu Kα.
No peak broadening, texture or thermal motion is included.

Crystal structure
Unit cell a=5.916 b=5.440 c=4.233 alpha=74.23 beta=62.25 gamma=43.52
Atoms (fractional coordinates):
Ce  0.197  0.803  0.197
Ce  0.803  0.197  0.803
Be  0.283  0.283  0.717
Be  0.717  0.717  0.283
B  0.250  0.250  0.250
B  0.750  0.750  0.750

The 10 most intense peaks (2θ = 10–90°), by angle:
2θ = 18.37°, I = 100; 2θ = 23.89°, I = 28; 2θ = 26.09°, I = 36; 2θ = 32.10°, I = 39; 2θ = 35.89°, I = 24; 2θ = 37.23°, I = 26; 2θ = 40.61°, I = 36; 2θ = 44.73°, I = 38; 2θ = 48.91°, I = 31; 2θ = 52.51°, I = 25